No. 1
Starting from a GGA-PBE-relaxed structure, the powder XRD pattern of MnPb2Cl4 was computed for Cu Ka.
No peak broadening, texture or thermal motion is included.

Main lines, most intense first (2θ = 10–80°):
2theta	intensity	h k l
32.63	100	2 1 1
27.86	80	1 1 1
33.29	68	3 2 0
18.64	60	1 2 0
20.85	58	2 1 0
25.92	58	1 3 0

Atomic structure:
abc: 9.2284 11.1099 3.5875
angles: 90.00 90.00 90.00
Space group Pbam (No. 55)
One atom of each set of equivalent atoms:
Mn1 0.0000 0.0000 0.0000 x2
Pb1 0.0960 0.3679 0.5000 x4
Cl1 0.1023 0.7906 0.0000 x4
Cl2 0.1803 0.0591 0.5000 x4


No. 2
Starting from a GGA-PBE-relaxed structure, the powder XRD pattern of Ag2SeBrO3 was computed for Cu Ka.
No peak broadening, texture or thermal motion is included.

Main lines, most intense first (2θ = 10–80°):
2theta	intensity	h k l
35.03	100	0 2 4
27.17	59	0 1 5
13.56	48	0 0 3
30.08	48	0 2 1
25.67	46	1 1 0
52.75	46	2 2 0

Atomic structure:
abc: 6.9412 6.9412 19.5853
angles: 90.00 90.00 120.00
Space group R-3m (No. 166, hexagonal axes)
One atom of each set of equivalent atoms:
Ag1 0.0000 0.0000 0.0000 x3
Ag2 0.0000 0.5000 0.5000 x9
Se1 0.0000 0.0000 0.4296 x6
Br1 0.0000 0.0000 0.2482 x6
O1 0.0624 0.5312 0.2581 x18


Repeat the second record exactly.
Starting from a GGA-PBE-relaxed structure, the powder XRD pattern of Ag2SeBrO3 was computed for Cu Ka.
No peak broadening, texture or thermal motion is included.

Main lines, most intense first (2θ = 10–80°):
2theta	intensity	h k l
35.03	100	0 2 4
27.17	59	0 1 5
13.56	48	0 0 3
30.08	48	0 2 1
25.67	46	1 1 0
52.75	46	2 2 0

Atomic structure:
abc: 6.9412 6.9412 19.5853
angles: 90.00 90.00 120.00
Space group R-3m (No. 166, hexagonal axes)
One atom of each set of equivalent atoms:
Ag1 0.0000 0.0000 0.0000 x3
Ag2 0.0000 0.5000 0.5000 x9
Se1 0.0000 0.0000 0.4296 x6
Br1 0.0000 0.0000 0.2482 x6
O1 0.0624 0.5312 0.2581 x18


Number 1 is which compound?
MnPb2Cl4